This entry pairs a crystal structure of Pr3Ir2 with its simulated powder diffraction line list. Radiation: copper Kα. Structure: a cell relaxed with PBE.

Principal peaks in the range 2θ = 10–90°, by angle:
| 2theta | I_rel | (hkl) |
| --- | --- | --- |
| 29.87 | 34 | 1 0 5 |
| 32.95 | 100 | 2 1 2 |
| 35.00 | 44 | 0 1 5 |
| 36.85 | 63 | 1 1 5 |
| 40.71 | 42 | 3 1 1 |
| 42.92 | 54 | 0 2 0 |

Cell and atoms:
```
20
Lattice="7.924 0.000 0.000 0.000 4.215 0.000 0.000 0.000 16.150" Properties=species:S:1:pos:R:3 pbc="T T T"
Pr 0.204 1.054 1.684
Pr 1.056 3.161 7.029
Pr 1.263 1.054 11.649
Pr 2.699 3.161 3.574
Pr 2.906 1.054 15.104
Pr 3.758 3.161 9.758
Pr 4.166 1.054 6.391
Pr 5.018 3.161 1.046
Pr 5.225 1.054 12.576
Pr 6.660 3.161 4.501
Pr 6.868 1.054 9.121
Pr 7.720 3.161 14.466
Ir 1.077 1.054 4.773
Ir 1.908 3.161 0.673
Ir 2.053 1.054 8.748
Ir 2.885 3.161 12.848
Ir 5.038 1.054 3.302
Ir 5.870 3.161 7.402
Ir 6.015 1.054 15.476
Ir 6.847 3.161 11.377
```